# 1
Starting from a DFT-relaxed cell (GGA-PBE, Alexandria), the powder X-ray diffraction pattern of NdNiSb was simulated for copper Kα.
Lines closer than 0.1° are merged.

Cell and atoms:
Cell: 6.0356 6.1078 7.9504 Å, 90.00 113.54 90.00°
Fractional positions:
Nd  0.1907  0.1307  0.3720
Nd  0.1907  0.3693  0.8720
Nd  0.8093  0.6307  0.1280
Nd  0.8093  0.8693  0.6280
Ni  0.1973  0.5949  0.5226
Ni  0.1973  0.9051  0.0226
Ni  0.8027  0.0949  0.9774
Ni  0.8027  0.4051  0.4774
Sb  0.3793  0.6219  0.2821
Sb  0.3793  0.8781  0.7821
Sb  0.6207  0.1219  0.2179
Sb  0.6207  0.3781  0.7179

Largest 10 diffraction maxima, by intensity, 5 to 70 degrees two-theta:
- 31.78°, I = 100.0
- 37.01°, I = 58.8
- 38.02°, I = 58.4
- 35.16°, I = 54.7
- 34.45°, I = 50.2
- 33.12°, I = 38.8
- 55.79°, I = 32.1
- 48.28°, I = 26.7
- 35.62°, I = 26.1
- 33.40°, I = 23.6

***

# 2
Starting from a DFT-relaxed cell (GGA-PBE, Alexandria), the powder X-ray diffraction pattern of Dy2Er5Sc was simulated for copper Kα.
Lines closer than 0.1° are merged.

Cell and atoms:
Cell: 8.2827 7.1171 6.5778 Å, 74.31 55.82 49.87°
Fractional positions:
Dy  0.2461  0.7539  0.2461
Dy  0.7539  0.2461  0.7539
Er  0.2515  0.2515  0.2485
Er  0.3351  0.3351  0.6649
Er  0.3364  0.8316  0.6636
Er  0.7515  0.7515  0.7485
Er  0.8316  0.3364  0.1684
Sc  0.8344  0.8344  0.1656

Largest 10 diffraction maxima, by intensity, 5 to 70 degrees two-theta:
- 33.28°, I = 100.0
- 28.97°, I = 24.5
- 32.36°, I = 23.8
- 62.02°, I = 22.2
- 58.31°, I = 20.0
- 51.35°, I = 19.9
- 62.58°, I = 16.2
- 43.99°, I = 15.9
- 16.46°, I = 4.5
- 69.88°, I = 4.1

***

# 3
Starting from a DFT-relaxed cell (GGA-PBE, Alexandria), the powder X-ray diffraction pattern of Ca2H2I was simulated for copper Kα.
Lines closer than 0.1° are merged.

Cell and atoms:
Cell: 7.0287 7.0287 7.0287 Å, 147.37 147.37 46.81°
Fractional positions:
Ca  0.1601  0.1601  0.0000
Ca  0.8399  0.8399  0.0000
H  0.2500  0.7500  0.5000
H  0.7500  0.2500  0.5000
I  0.5000  0.5000  0.0000

Largest 10 diffraction maxima, by intensity, 5 to 70 degrees two-theta:
- 30.74°, I = 100.0
- 32.06°, I = 43.5
- 56.32°, I = 33.2
- 23.56°, I = 27.8
- 13.73°, I = 26.9
- 53.81°, I = 19.2
- 45.97°, I = 16.1
- 35.02°, I = 13.5
- 64.03°, I = 10.8
- 42.02°, I = 9.8

***

# 4
Starting from a DFT-relaxed cell (GGA-PBE, Alexandria), the powder X-ray diffraction pattern of Tm3Si2Pt7 was simulated for copper Kα.
Lines closer than 0.1° are merged.

Cell and atoms:
Cell: 14.2865 14.2865 3.9593 Å, 90.00 90.00 163.53°
Fractional positions:
Tm  0.0000  0.0000  0.0000
Tm  0.2025  0.7975  0.0000
Tm  0.7975  0.2025  0.0000
Si  0.4169  0.5831  0.5000
Si  0.5831  0.4169  0.5000
Pt  0.1288  0.8712  0.5000
Pt  0.2874  0.7126  0.5000
Pt  0.3698  0.6302  0.0000
Pt  0.5000  0.5000  0.5000
Pt  0.6302  0.3698  0.0000
Pt  0.7126  0.2874  0.5000
Pt  0.8712  0.1288  0.5000

Largest 10 diffraction maxima, by intensity, 5 to 70 degrees two-theta:
- 35.31°, I = 100.0
- 6.25°, I = 42.4
- 38.70°, I = 36.7
- 44.26°, I = 22.8
- 45.84°, I = 20.6
- 47.67°, I = 17.9
- 65.61°, I = 14.3
- 25.19°, I = 14.1
- 18.83°, I = 10.7
- 32.88°, I = 10.7

***

# 5
Starting from a DFT-relaxed cell (GGA-PBE, Alexandria), the powder X-ray diffraction pattern of Pm2MgTl9 was simulated for copper Kα.
Lines closer than 0.1° are merged.

Cell and atoms:
Cell: 4.8207 4.8207 14.3616 Å, 90.00 90.00 90.00°
Fractional positions:
Pm  0.0000  0.0000  0.1644
Pm  0.0000  0.0000  0.8356
Mg  0.0000  0.0000  0.5000
Tl  0.0000  0.5000  0.0000
Tl  0.0000  0.5000  0.3387
Tl  0.0000  0.5000  0.6613
Tl  0.5000  0.0000  0.0000
Tl  0.5000  0.0000  0.3387
Tl  0.5000  0.0000  0.6613
Tl  0.5000  0.5000  0.1680
Tl  0.5000  0.5000  0.5000
Tl  0.5000  0.5000  0.8320

Largest 10 diffraction maxima, by intensity, 5 to 70 degrees two-theta:
- 32.24°, I = 100.0
- 37.31°, I = 34.1
- 64.11°, I = 28.5
- 53.99°, I = 23.5
- 37.58°, I = 16.4
- 64.48°, I = 13.5
- 67.46°, I = 12.1
- 53.78°, I = 12.1
- 26.20°, I = 4.3
- 18.40°, I = 3.3

***

# 6
Starting from a DFT-relaxed cell (GGA-PBE, Alexandria), the powder X-ray diffraction pattern of NpAs3Au was simulated for copper Kα.
Lines closer than 0.1° are merged.

Cell and atoms:
Cell: 12.5920 5.6675 5.6925 Å, 90.00 90.00 90.00°
Fractional positions:
Np  0.1809  0.0009  0.2500
Np  0.1809  0.4991  0.7500
Np  0.8191  0.5009  0.2500
Np  0.8191  0.9991  0.7500
As  0.0007  0.7500  0.0000
As  0.0007  0.7500  0.5000
As  0.2247  0.9999  0.7500
As  0.2247  0.5001  0.2500
As  0.4098  0.1559  0.2500
As  0.4098  0.3441  0.7500
As  0.5902  0.6559  0.2500
As  0.5902  0.8441  0.7500
As  0.7753  0.0001  0.2500
As  0.7753  0.4999  0.7500
As  0.9993  0.2500  0.0000
As  0.9993  0.2500  0.5000
Au  0.3970  0.7500  0.0000
Au  0.3970  0.7500  0.5000
Au  0.6030  0.2500  0.0000
Au  0.6030  0.2500  0.5000

Largest 10 diffraction maxima, by intensity, 5 to 70 degrees two-theta:
- 38.19°, I = 100.0
- 35.65°, I = 75.4
- 45.15°, I = 68.4
- 34.72°, I = 61.6
- 23.25°, I = 59.9
- 38.32°, I = 59.4
- 58.81°, I = 49.6
- 34.58°, I = 47.8
- 36.26°, I = 37.7
- 41.51°, I = 35.0